No. 1
Starting from the PBE geometry in the Materials Project, the X-ray powder pattern of Ce2Zn17 was calculated for Cu Kα X-rays.
Intensities are scaled so that the largest is 100.

Crystal structure
```
data_Ce2Zn17
_chemical_formula_sum 'Ce4 Zn34'
_symmetry_space_group_name_H-M 'P 1'
_symmetry_Int_Tables_number 1
_symmetry_space_group_name_Hall 'P 1'
_cell_length_a 8.9870
_cell_length_b 8.9870
_cell_length_c 8.8080
_cell_angle_alpha 90.00
_cell_angle_beta 90.00
_cell_angle_gamma 120.00
loop_
_atom_site_label
_atom_site_fract_x
_atom_site_fract_y
_atom_site_fract_z
Ce1 0.0000 0.0000 0.2500
Ce2 0.0000 0.0000 0.7500
Ce3 0.3333 0.6667 0.2500
Ce4 0.6667 0.3333 0.7500
Zn1 0.0000 0.5000 0.0000
Zn2 0.0000 0.5000 0.5000
Zn3 0.0404 0.3702 0.7500
Zn4 0.0404 0.6702 0.7500
Zn5 0.1620 0.3241 0.0221
Zn6 0.1620 0.3241 0.4779
Zn7 0.1620 0.8380 0.0221
Zn8 0.1620 0.8380 0.4779
Zn9 0.3241 0.1620 0.5221
Zn10 0.3241 0.1620 0.9779
Zn11 0.3298 0.3702 0.7500
Zn12 0.3298 0.9596 0.7500
Zn13 0.3333 0.6667 0.6007
Zn14 0.3333 0.6667 0.8993
Zn15 0.3702 0.0404 0.2500
Zn16 0.3702 0.3298 0.2500
Zn17 0.5000 0.0000 0.0000
Zn18 0.5000 0.0000 0.5000
Zn19 0.5000 0.5000 0.0000
Zn20 0.5000 0.5000 0.5000
Zn21 0.6298 0.6702 0.7500
Zn22 0.6298 0.9596 0.7500
Zn23 0.6667 0.3333 0.1007
Zn24 0.6667 0.3333 0.3993
Zn25 0.6702 0.0404 0.2500
Zn26 0.6702 0.6298 0.2500
Zn27 0.6759 0.8380 0.0221
Zn28 0.6759 0.8380 0.4779
Zn29 0.8380 0.1620 0.5221
Zn30 0.8380 0.1620 0.9779
Zn31 0.8380 0.6759 0.5221
Zn32 0.8380 0.6759 0.9779
Zn33 0.9596 0.3298 0.2500
Zn34 0.9596 0.6298 0.2500
```

Principal peaks in the range 5 to 70 degrees two-theta, in order of rising 2θ:
Position (°2θ)  d_spacing  I_rel
28.4  3.145  24
34.6  2.594  38
38.4  2.344  41
40.1  2.247  61
40.3  2.235  100
41.0  2.202  34
43.6  2.078  13
45.3  2.001  35
58.7  1.573  16
65.9  1.418  15

No. 2
Starting from the PBE geometry in the Materials Project, the X-ray powder pattern of CeZn11 was calculated for Cu Kα X-rays.
Intensities are scaled so that the largest is 100.

Crystal structure
```
data_CeZn11
_chemical_formula_sum 'Ce2 Zn22'
_symmetry_space_group_name_H-M 'P 1'
_symmetry_Int_Tables_number 1
_symmetry_space_group_name_Hall 'P 1'
_cell_length_a 8.2625
_cell_length_b 8.2625
_cell_length_c 8.2625
_cell_angle_alpha 100.17
_cell_angle_beta 100.17
_cell_angle_gamma 130.31
loop_
_atom_site_label
_atom_site_fract_x
_atom_site_fract_y
_atom_site_fract_z
Ce1 0.3750 0.6250 0.7500
Ce2 0.6250 0.3750 0.2500
Zn1 0.0000 0.0000 0.0000
Zn2 0.0000 0.0000 0.5000
Zn3 0.0000 0.5000 0.0000
Zn4 0.1250 0.8750 0.2500
Zn5 0.1311 0.5541 0.3360
Zn6 0.1311 0.7952 0.5770
Zn7 0.2048 0.2819 0.3360
Zn8 0.2048 0.8689 0.9230
Zn9 0.2819 0.2048 0.8360
Zn10 0.2819 0.4459 0.0770
Zn11 0.4459 0.2819 0.5770
Zn12 0.4459 0.8689 0.1640
Zn13 0.5000 0.0000 0.5000
Zn14 0.5541 0.1311 0.8360
Zn15 0.5541 0.7181 0.4230
Zn16 0.7181 0.5541 0.9230
Zn17 0.7181 0.7952 0.1640
Zn18 0.7952 0.1311 0.0770
Zn19 0.7952 0.7181 0.6640
Zn20 0.8689 0.2048 0.4230
Zn21 0.8689 0.4459 0.6640
Zn22 0.8750 0.1250 0.7500
```

Principal peaks in the range 5 to 70 degrees two-theta, in order of rising 2θ:
Position (°2θ)  d_spacing  I_rel
28.3  3.150  14
33.1  2.708  38
37.3  2.412  100
37.9  2.371  68
39.9  2.261  32
43.5  2.080  17
44.7  2.028  53
46.4  1.958  28
57.2  1.611  15
68.1  1.377  30

No. 3
Starting from the PBE geometry in the Materials Project, the X-ray powder pattern of Ce3Zn11 was calculated for Cu Kα X-rays.
Intensities are scaled so that the largest is 100.

Crystal structure
```
data_Ce3Zn11
_chemical_formula_sum 'Ce3 Zn11'
_symmetry_space_group_name_H-M 'P 1'
_symmetry_Int_Tables_number 1
_symmetry_space_group_name_Hall 'P 1'
_cell_length_a 8.2743
_cell_length_b 8.2743
_cell_length_c 8.2743
_cell_angle_alpha 148.69
_cell_angle_beta 115.78
_cell_angle_gamma 73.19
loop_
_atom_site_label
_atom_site_fract_x
_atom_site_fract_y
_atom_site_fract_z
Ce1 0.0000 0.0000 0.0000
Ce2 0.2954 0.2954 0.0000
Ce3 0.7046 0.7046 0.0000
Zn1 0.0149 0.6561 0.3588
Zn2 0.1425 0.8599 0.2826
Zn3 0.2974 0.6561 0.6412
Zn4 0.3173 0.5000 0.8173
Zn5 0.4227 0.1401 0.2826
Zn6 0.5000 0.0000 0.5000
Zn7 0.5773 0.8599 0.7174
Zn8 0.6827 0.5000 0.1827
Zn9 0.7026 0.3439 0.3588
Zn10 0.8575 0.1401 0.7174
Zn11 0.9851 0.3439 0.6412
```

Principal peaks in the range 5 to 70 degrees two-theta, in order of rising 2θ:
Position (°2θ)  d_spacing  I_rel
28.4  3.145  17
33.8  2.651  31
35.1  2.558  100
35.2  2.550  42
36.7  2.449  62
39.2  2.299  29
40.4  2.233  51
40.7  2.214  23
46.5  1.951  16
68.6  1.368  22

No. 4
Starting from the PBE geometry in the Materials Project, the X-ray powder pattern of Ce2Zn17 was calculated for Cu Kα X-rays.
Intensities are scaled so that the largest is 100.

Crystal structure
```
data_Ce2Zn17
_chemical_formula_sum 'Ce2 Zn17'
_symmetry_space_group_name_H-M 'P 1'
_symmetry_Int_Tables_number 1
_symmetry_space_group_name_Hall 'P 1'
_cell_length_a 6.8478
_cell_length_b 6.8478
_cell_length_c 6.8478
_cell_angle_alpha 82.71
_cell_angle_beta 82.71
_cell_angle_gamma 82.71
loop_
_atom_site_label
_atom_site_fract_x
_atom_site_fract_y
_atom_site_fract_z
Ce1 0.1634 0.1634 0.1634
Ce2 0.8366 0.8366 0.8366
Zn1 0.0000 0.5000 0.5000
Zn2 0.1488 0.1488 0.6606
Zn3 0.1488 0.6606 0.1488
Zn4 0.2058 0.5000 0.7942
Zn5 0.2058 0.7942 0.5000
Zn6 0.3394 0.8512 0.8512
Zn7 0.4001 0.4001 0.4001
Zn8 0.5000 0.0000 0.5000
Zn9 0.5000 0.2058 0.7942
Zn10 0.5000 0.5000 0.0000
Zn11 0.5000 0.7942 0.2058
Zn12 0.5999 0.5999 0.5999
Zn13 0.6606 0.1488 0.1488
Zn14 0.7942 0.2058 0.5000
Zn15 0.7942 0.5000 0.2058
Zn16 0.8512 0.3394 0.8512
Zn17 0.8512 0.8512 0.3394
```

Principal peaks in the range 5 to 70 degrees two-theta, in order of rising 2θ:
Position (°2θ)  d_spacing  I_rel
28.2  3.164  24
34.3  2.612  38
35.4  2.533  26
39.8  2.262  62
40.1  2.250  100
40.8  2.213  49
41.1  2.199  21
45.0  2.014  36
57.8  1.596  17
58.3  1.582  22

No. 5
Starting from the PBE geometry in the Materials Project, the X-ray powder pattern of Cl was calculated for Cu Kα X-rays.
Intensities are scaled so that the largest is 100.

Crystal structure
```
data_Cl
_chemical_formula_sum 'Cl8'
_symmetry_space_group_name_H-M 'P 1'
_symmetry_Int_Tables_number 1
_symmetry_space_group_name_Hall 'P 1'
_cell_length_a 7.6735
_cell_length_b 4.2636
_cell_length_c 8.6015
_cell_angle_alpha 90.00
_cell_angle_beta 90.00
_cell_angle_gamma 90.00
loop_
_atom_site_label
_atom_site_fract_x
_atom_site_fract_y
_atom_site_fract_z
Cl1 0.0000 0.0972 0.1065
Cl2 0.0000 0.4028 0.6065
Cl3 0.0000 0.5972 0.3935
Cl4 0.0000 0.9028 0.8935
Cl5 0.5000 0.0972 0.3935
Cl6 0.5000 0.4028 0.8935
Cl7 0.5000 0.5972 0.1065
Cl8 0.5000 0.9028 0.6065
```

Principal peaks in the range 5 to 70 degrees two-theta, in order of rising 2θ:
Position (°2θ)  d_spacing  I_rel
23.2  3.837  83
26.1  3.420  100
31.8  2.817  42
42.0  2.150  11
42.5  2.125  22
46.5  1.954  12
47.4  1.918  9
48.5  1.876  14
50.1  1.821  11
59.1  1.562  24

No. 6
Starting from the PBE geometry in the Materials Project, the X-ray powder pattern of Cl was calculated for Cu Kα X-rays.
Intensities are scaled so that the largest is 100.

Crystal structure
```
data_Cl
_chemical_formula_sum 'Cl16'
_symmetry_space_group_name_H-M 'P 1'
_symmetry_Int_Tables_number 1
_symmetry_space_group_name_Hall 'P 1'
_cell_length_a 11.7658
_cell_length_b 11.7658
_cell_length_c 8.2035
_cell_angle_alpha 90.00
_cell_angle_beta 90.00
_cell_angle_gamma 90.00
loop_
_atom_site_label
_atom_site_fract_x
_atom_site_fract_y
_atom_site_fract_z
Cl1 0.0945 0.6439 0.1108
Cl2 0.0945 0.8561 0.6108
Cl3 0.1439 0.5945 0.8892
Cl4 0.1439 0.9055 0.3892
Cl5 0.3561 0.5945 0.3892
Cl6 0.3561 0.9055 0.8892
Cl7 0.4055 0.6439 0.6108
Cl8 0.4055 0.8561 0.1108
Cl9 0.5945 0.1439 0.8892
Cl10 0.5945 0.3561 0.3892
Cl11 0.6439 0.0945 0.1108
Cl12 0.6439 0.4055 0.6108
Cl13 0.8561 0.0945 0.6108
Cl14 0.8561 0.4055 0.1108
Cl15 0.9055 0.1439 0.3892
Cl16 0.9055 0.3561 0.8892
```

Principal peaks in the range 5 to 70 degrees two-theta, in order of rising 2θ:
Position (°2θ)  d_spacing  I_rel
10.6  8.320  93
15.2  5.841  67
24.0  3.714  100
26.3  3.388  24
27.6  3.235  8
30.4  2.941  23
33.2  2.695  7
44.4  2.041  10
50.8  1.796  7
52.3  1.750  7

No. 7
Starting from the PBE geometry in the Materials Project, the X-ray powder pattern of Co3Cl was calculated for Cu Kα X-rays.
Intensities are scaled so that the largest is 100.

Crystal structure
```
data_Co3Cl
_chemical_formula_sum 'Co12 Cl4'
_symmetry_space_group_name_H-M 'P 1'
_symmetry_Int_Tables_number 1
_symmetry_space_group_name_Hall 'P 1'
_cell_length_a 5.8604
_cell_length_b 5.8604
_cell_length_c 5.8604
_cell_angle_alpha 90.00
_cell_angle_beta 90.00
_cell_angle_gamma 90.00
loop_
_atom_site_label
_atom_site_fract_x
_atom_site_fract_y
_atom_site_fract_z
Co1 0.0000 0.0000 0.0000
Co2 0.0000 0.5000 0.5000
Co3 0.2500 0.2500 0.2500
Co4 0.2500 0.2500 0.7500
Co5 0.2500 0.7500 0.2500
Co6 0.2500 0.7500 0.7500
Co7 0.5000 0.0000 0.5000
Co8 0.5000 0.5000 0.0000
Co9 0.7500 0.2500 0.2500
Co10 0.7500 0.2500 0.7500
Co11 0.7500 0.7500 0.2500
Co12 0.7500 0.7500 0.7500
Cl1 0.0000 0.0000 0.5000
Cl2 0.0000 0.5000 0.0000
Cl3 0.5000 0.0000 0.0000
Cl4 0.5000 0.5000 0.5000
```

Principal peaks in the range 5 to 70 degrees two-theta, in order of rising 2θ:
Position (°2θ)  d_spacing  I_rel
26.3  3.383  4
30.5  2.930  2
43.7  2.072  100
51.7  1.767  2
54.2  1.692  1
63.5  1.465  15
70.0  1.344  1

No. 8
Starting from the PBE geometry in the Materials Project, the X-ray powder pattern of CrCoCl3 was calculated for Cu Kα X-rays.
Intensities are scaled so that the largest is 100.

Crystal structure
```
data_CrCoCl3
_chemical_formula_sum 'Cr2 Co2 Cl6'
_symmetry_space_group_name_H-M 'P 1'
_symmetry_Int_Tables_number 1
_symmetry_space_group_name_Hall 'P 1'
_cell_length_a 6.5743
_cell_length_b 6.5743
_cell_length_c 5.6914
_cell_angle_alpha 90.00
_cell_angle_beta 90.00
_cell_angle_gamma 120.00
loop_
_atom_site_label
_atom_site_fract_x
_atom_site_fract_y
_atom_site_fract_z
Cr1 0.3333 0.6667 0.2500
Cr2 0.6667 0.3333 0.7500
Co1 0.0000 0.0000 0.0000
Co2 0.0000 0.0000 0.5000
Cl1 0.1690 0.3379 0.7500
Cl2 0.1690 0.8310 0.7500
Cl3 0.3379 0.1690 0.2500
Cl4 0.6621 0.8310 0.7500
Cl5 0.8310 0.1690 0.2500
Cl6 0.8310 0.6621 0.2500
```

Principal peaks in the range 5 to 70 degrees two-theta, in order of rising 2θ:
Position (°2θ)  d_spacing  I_rel
15.6  5.693  43
27.1  3.287  26
31.4  2.846  10
35.3  2.546  100
42.0  2.152  12
45.0  2.013  40
53.4  1.716  11
55.9  1.644  23
58.5  1.579  19
67.9  1.381  16